InSb4Te7: simulated X-ray powder pattern (copper Kα), based on a DFT-relaxed cell (PBE, Alexandria).
Kinematic intensities with the Lorentz-polarization factor, no thermal factor.

Largest 6 diffraction maxima, most intense first, 2θ from 5° to 70°:
| 2θ (°) | Rel. int. | index |
| --- | --- | --- |
| 27.86 | 100 | 1 0 4 |
| 41.46 | 37 | 1 1 0 |
| 38.10 | 34 | 0 1 8 |
| 50.69 | 19 | 0 2 4 |
| 67.49 | 16 | 2 1 4 |
| 57.57 | 10 | 2 0 8 |

Atomic structure:
Lattice parameters (Å, degrees): 4.3558 4.3558 24.2341 90.00 90.00 120.00
Space group P-3m1 (No. 164)
Inequivalent atoms, fractional coordinates:
In 0.0000 0.0000 0.0000 (multiplicity 1)
Sb 0.3333 0.6667 0.1586 (multiplicity 2)
Sb 0.3333 0.6667 0.4183 (multiplicity 2)
Te 0.0000 0.0000 0.2286 (multiplicity 2)
Te 0.0000 0.0000 0.5000 (multiplicity 1)
Te 0.3333 0.6667 0.6520 (multiplicity 2)
Te 0.3333 0.6667 0.9235 (multiplicity 2)


ZrCo5Si3: simulated X-ray powder pattern (copper Kα), based on a DFT-relaxed cell (PBE, Alexandria).
Kinematic intensities with the Lorentz-polarization factor, no thermal factor.

Largest 6 diffraction maxima, most intense first, 2θ from 5° to 70°:
| 2θ (°) | Rel. int. | index |
| --- | --- | --- |
| 39.90 | 100 | 2 3 1 |
| 50.23 | 33 | 0 0 2 |
| 30.99 | 16 | 2 3 0 |
| 55.14 | 16 | 7 1 0 |
| 37.85 | 16 | 4 0 1 |
| 45.02 | 10 | 5 2 0 |

Atomic structure:
Lattice parameters (Å, degrees): 14.5215 14.5215 3.6333 90.00 90.00 120.00
Space group P6_3/m (No. 176)
Inequivalent atoms, fractional coordinates:
Zr 0.1002 0.3942 0.2500 (multiplicity 6)
Co 0.0268 0.1284 0.2500 (multiplicity 6)
Co 0.0493 0.7805 0.2500 (multiplicity 6)
Co 0.0741 0.5398 0.7500 (multiplicity 6)
Co 0.1494 0.7356 0.7500 (multiplicity 6)
Co 0.2238 0.6523 0.2500 (multiplicity 6)
Si 0.0589 0.6301 0.2500 (multiplicity 6)
Si 0.1165 0.2506 0.7500 (multiplicity 6)
Si 0.2371 0.5549 0.7500 (multiplicity 6)